# U2Al3Si
Computed X-ray diffraction stick pattern, Cu Kα. Input: a structure optimized by DFT (GGA-PBE).
Intensities are scaled so that the largest is 100.

Cell lengths 5.3049, 5.3049, 13.4972 Å; angles 90.00, 90.00, 120.00 degrees
Space group R-3m (No. 166, hexagonal axes)
One atom of each set of equivalent atoms:
U: 0.0000 0.0000 0.1322 (multiplicity 6)
Al: 0.0000 0.5000 0.0000 (multiplicity 9)
Si: 0.0000 0.0000 0.5000 (multiplicity 3)

Top 8 peaks for 10 to 80 degrees two-theta, in order of falling intensity:
2θ/deg, Rel. int.
39.44, 100
32.93, 92
33.79, 90
20.42, 90
19.73, 50
39.81, 36
59.91, 35
38.69, 27

***

# Al3V12Si
Computed X-ray diffraction stick pattern, Cu Kα. Input: a structure optimized by DFT (GGA-PBE).
Intensities are scaled so that the largest is 100.

Cell lengths 4.7420, 4.7502, 9.7154 Å; angles 90.00, 90.00, 90.00 degrees
Space group Pmmm (No. 47)
One atom of each set of equivalent atoms:
Al: 0.0000 0.0000 0.0000 (multiplicity 1)
Al: 0.5000 0.5000 0.2511 (multiplicity 2)
V: 0.0000 0.5000 0.1245 (multiplicity 2)
V: 0.0000 0.5000 0.3789 (multiplicity 2)
V: 0.2381 0.0000 0.2564 (multiplicity 4)
V: 0.5000 0.2501 0.5000 (multiplicity 2)
V: 0.5000 0.2625 0.0000 (multiplicity 2)
Si: 0.0000 0.0000 0.5000 (multiplicity 1)

Top 8 peaks for 10 to 80 degrees two-theta, in order of falling intensity:
2θ/deg, Rel. int.
42.59, 100
42.39, 96
41.78, 95
46.70, 79
46.13, 51
37.91, 41
67.89, 29
26.25, 24

***

# AlV2Si
Computed X-ray diffraction stick pattern, Cu Kα. Input: a structure optimized by DFT (GGA-PBE).
Intensities are scaled so that the largest is 100.

Cell lengths 5.2782, 7.8604, 2.6387 Å; angles 90.00, 100.35, 90.00 degrees
Space group C2/m (No. 12)
One atom of each set of equivalent atoms:
Al: 0.0000 0.0000 0.0000 (multiplicity 2)
V: 0.2500 0.2500 0.5000 (multiplicity 4)
Si: 0.0000 0.5000 0.0000 (multiplicity 2)

Top 8 peaks for 10 to 80 degrees two-theta, in order of falling intensity:
2θ/deg, Rel. int.
41.70, 100
44.72, 20
46.20, 18
66.25, 11
54.27, 11
22.62, 11
72.87, 9
73.97, 8

***

# AlV2Si
Computed X-ray diffraction stick pattern, Cu Kα. Input: a structure optimized by DFT (GGA-PBE).
Intensities are scaled so that the largest is 100.

Cell lengths 4.6675, 4.8163, 5.2895 Å; angles 70.55, 89.18, 77.78 degrees
Space group P-1 (No. 2)
One atom of each set of equivalent atoms:
Al: 0.1514 0.2304 0.1869 (multiplicity 2)
V: 0.1601 0.2546 0.6787 (multiplicity 2)
V: 0.3547 0.7294 0.0826 (multiplicity 2)
Si: 0.3459 0.7443 0.5743 (multiplicity 2)

Top 8 peaks for 10 to 80 degrees two-theta, in order of falling intensity:
2θ/deg, Rel. int.
40.73, 100
42.44, 93
41.41, 91
40.37, 91
46.12, 69
48.82, 52
49.00, 50
21.89, 20

***

# AlV12Si3
Computed X-ray diffraction stick pattern, Cu Kα. Input: a structure optimized by DFT (GGA-PBE).
Intensities are scaled so that the largest is 100.

Cell lengths 4.7086, 4.7330, 9.4999 Å; angles 90.00, 90.00, 90.00 degrees
Space group Pmmm (No. 47)
One atom of each set of equivalent atoms:
Al: 0.0000 0.0000 0.0000 (multiplicity 1)
V: 0.0000 0.2509 0.2554 (multiplicity 4)
V: 0.2499 0.5000 0.5000 (multiplicity 2)
V: 0.2604 0.5000 0.0000 (multiplicity 2)
V: 0.5000 0.0000 0.1290 (multiplicity 2)
V: 0.5000 0.0000 0.3738 (multiplicity 2)
Si: 0.0000 0.0000 0.5000 (multiplicity 1)
Si: 0.5000 0.5000 0.2512 (multiplicity 2)

Top 8 peaks for 10 to 80 degrees two-theta, in order of falling intensity:
2θ/deg, Rel. int.
42.64, 100
42.89, 68
47.00, 63
42.76, 35
47.17, 29
68.74, 20
37.88, 15
38.02, 15

***

# Al2V5Si
Computed X-ray diffraction stick pattern, Cu Kα. Input: a structure optimized by DFT (GGA-PBE).
Intensities are scaled so that the largest is 100.

Cell lengths 6.3935, 6.3935, 10.8995 Å; angles 90.00, 90.00, 90.00 degrees
Space group I4/mcm (No. 140)
One atom of each set of equivalent atoms:
Al: 0.1364 0.3636 0.0000 (multiplicity 8)
V: 0.0000 0.0000 0.0000 (multiplicity 4)
V: 0.1629 0.3371 0.3388 (multiplicity 16)
Si: 0.0000 0.0000 0.2500 (multiplicity 4)

Top 8 peaks for 10 to 80 degrees two-theta, in order of falling intensity:
2θ/deg, Rel. int.
40.13, 100
44.83, 44
43.65, 17
65.44, 13
50.22, 12
38.58, 12
69.57, 11
39.88, 10